Structure and theoretical powder XRD pattern of CaSeO3 (a DFT-relaxed cell (GGA-PBE, the Materials Project); Cu Kα (weighted mean of Kα1 and Kα2)).
Intensities are scaled so that the largest is 100.

Peak list (10 most intense, 15° ≤ 2θ ≤ 90°, most intense first)
Position (°2θ)  d/Å  I_rel  index
30.08  2.971  100.0  1 2 1
27.48  3.246  30.8  2 0 0
50.23  1.816  25.9  3 2 1
56.88  1.619  20.8  1 2 3
32.80  2.730  17.2  0 0 2
21.26  4.179  17.1  1 0 1
43.30  2.089  16.8  2 0 2
51.64  1.770  15.7  2 4 0
29.48  3.030  12.7  2 1 0
62.54  1.485  10.7  2 4 2

Atomic structure:
Unit cell a=6.492 b=8.447 c=5.461 alpha=90.00 beta=90.00 gamma=90.00
Space group Pnma (No. 62)
Asymmetric unit:
Ca1 0.000 0.000 0.000 x4
Se1 0.026 0.250 0.482 x4
O1 0.073 0.250 0.795 x4
O2 0.170 0.092 0.371 x8